Structure and calculated XRD peak list of NdMgTl (DFT lattice parameters and positions (PBE); a wavelength of 1.5418 Å).
Lines closer than 0.1° are merged.

Principal peaks in the range 2θ from 10° to 90°, in order of falling intensity:
| hkl | Position (°2θ) | Rel. int. |
| --- | --- | --- |
| 2 0 1 | 32.6 | 100 |
| 1 1 0 | 22.9 | 73 |
| 3 0 0 | 40.2 | 58 |
| 1 1 1 | 29.7 | 49 |
| 3 2 1 | 63.3 | 37 |
| 0 0 2 | 37.9 | 25 |

Cell and atoms:
```
data_NdMgTl
_chemical_formula_sum 'Nd3 Mg3 Tl3'
_cell_length_a 7.7750
_cell_length_b 7.7750
_cell_length_c 4.7487
_cell_angle_alpha 90.00
_cell_angle_beta 90.00
_cell_angle_gamma 120.00
_symmetry_space_group_name_H-M 'P -6 2 m'
_symmetry_Int_Tables_number 189
_symmetry_space_group_name_Hall 'P -6 -2'
loop_
_atom_site_label
_atom_site_type_symbol
_atom_site_fract_x
_atom_site_fract_y
_atom_site_fract_z
_atom_site_occupancy
Nd1 Nd 0.0000 0.5746 0.0000 1
Mg1 Mg 0.0000 0.2422 0.5000 1
Tl1 Tl 0.0000 0.0000 0.0000 1
Tl2 Tl 0.3333 0.6667 0.5000 1
```

=====

Structure and calculated XRD peak list of HoRh3C (DFT lattice parameters and positions (PBE); a wavelength of 1.5418 Å).
Lines closer than 0.1° are merged.

Principal peaks in the range 2θ from 10° to 90°, in order of falling intensity:
| hkl | Position (°2θ) | Rel. int. |
| --- | --- | --- |
| 1 1 1 | 37.3 | 100 |
| 2 0 0 | 43.4 | 53 |
| 3 1 1 | 75.6 | 38 |
| 2 2 0 | 63.0 | 34 |
| 2 2 2 | 79.6 | 12 |
| 1 1 0 | 30.3 | 5 |

Cell and atoms:
```
data_HoRh3C
_chemical_formula_sum 'Ho1 Rh3 C1'
_cell_length_a 4.1738
_cell_length_b 4.1738
_cell_length_c 4.1738
_cell_angle_alpha 90.00
_cell_angle_beta 90.00
_cell_angle_gamma 90.00
_symmetry_space_group_name_H-M 'P m -3 m'
_symmetry_Int_Tables_number 221
_symmetry_space_group_name_Hall '-P 4 2 3'
loop_
_atom_site_label
_atom_site_type_symbol
_atom_site_fract_x
_atom_site_fract_y
_atom_site_fract_z
_atom_site_occupancy
Ho1 Ho 0.0000 0.0000 0.0000 1
Rh1 Rh 0.0000 0.5000 0.5000 1
C1 C 0.5000 0.5000 0.5000 1
```

=====

Structure and calculated XRD peak list of MnVCr2Te4 (DFT lattice parameters and positions (PBE); a wavelength of 1.5418 Å).
Lines closer than 0.1° are merged.

Principal peaks in the range 2θ from 10° to 90°, in order of falling intensity:
| hkl | Position (°2θ) | Rel. int. |
| --- | --- | --- |
| 1 0 -2 | 29.0 | 100 |
| 1 1 -1 | 28.9 | 68 |
| 0 1 3 | 44.0 | 57 |
| 2 1 -1 | 38.7 | 53 |
| 1 0 2 | 29.2 | 47 |
| 2 1 1 | 38.8 | 34 |

Cell and atoms:
```
data_MnVCr2Te4
_chemical_formula_sum 'Mn1 V1 Cr2 Te4'
_cell_length_a 6.1102
_cell_length_b 4.1447
_cell_length_c 7.1042
_cell_angle_alpha 90.00
_cell_angle_beta 90.48
_cell_angle_gamma 90.00
_symmetry_space_group_name_H-M 'P 1 2/m 1'
_symmetry_Int_Tables_number 10
loop_
_symmetry_equiv_pos_as_xyz
'x,y,z'
'-x,-y,-z'
'-x,y,-z'
'x,-y,z'
loop_
_atom_site_label
_atom_site_type_symbol
_atom_site_fract_x
_atom_site_fract_y
_atom_site_fract_z
_atom_site_occupancy
Mn1 Mn 0.0000 0.0000 0.0000 1
V1 V 0.0000 0.5000 0.5000 1
Cr1 Cr 0.5000 0.0000 0.0000 1
Cr2 Cr 0.5000 0.5000 0.5000 1
Te1 Te 0.2503 0.0000 0.6636 1
Te2 Te 0.2509 0.5000 0.1693 1
```

=====

Structure and calculated XRD peak list of Sr2PbN2 (DFT lattice parameters and positions (PBE); a wavelength of 1.5418 Å).
Lines closer than 0.1° are merged.

Principal peaks in the range 2θ from 10° to 90°, in order of falling intensity:
| hkl | Position (°2θ) | Rel. int. |
| --- | --- | --- |
| 1 1 4 | 32.8 | 100 |
| 1 3 2 | 30.9 | 83 |
| 2 0 0 | 32.3 | 71 |
| 0 2 0 | 14.8 | 50 |
| 0 4 2 | 33.0 | 43 |
| 1 1 2 | 22.4 | 42 |

Cell and atoms:
```
data_Sr2PbN2
_chemical_formula_sum 'Sr16 Pb8 N16'
_cell_length_a 5.5392
_cell_length_b 11.9586
_cell_length_c 12.9863
_cell_angle_alpha 90.00
_cell_angle_beta 90.00
_cell_angle_gamma 90.00
_symmetry_space_group_name_H-M 'C m c e'
_symmetry_Int_Tables_number 64
_symmetry_space_group_name_Hall '-C 2ac 2'
loop_
_atom_site_label
_atom_site_type_symbol
_atom_site_fract_x
_atom_site_fract_y
_atom_site_fract_z
_atom_site_occupancy
Sr1 Sr 0.0000 0.0395 0.1403 1
Sr2 Sr 0.0000 0.1418 0.5431 1
Pb1 Pb 0.0000 0.2467 0.3129 1
N1 N 0.0000 0.0655 0.3603 1
N2 N 0.0000 0.1529 0.9558 1
```

=====

Structure and calculated XRD peak list of Mn3Zn (DFT lattice parameters and positions (PBE); a wavelength of 1.5418 Å).
Lines closer than 0.1° are merged.

Principal peaks in the range 2θ from 10° to 90°, in order of falling intensity:
| hkl | Position (°2θ) | Rel. int. |
| --- | --- | --- |
| 1 1 2 | 43.5 | 100 |
| 2 0 0 | 52.1 | 28 |
| 0 0 4 | 47.6 | 19 |
| 2 0 4 | 73.2 | 19 |
| 1 1 6 | 85.7 | 12 |
| 2 2 0 | 76.8 | 8 |

Cell and atoms:
```
data_Mn3Zn
_chemical_formula_sum 'Mn6 Zn2'
_cell_length_a 3.5088
_cell_length_b 3.5088
_cell_length_c 7.6436
_cell_angle_alpha 90.00
_cell_angle_beta 90.00
_cell_angle_gamma 90.00
_symmetry_space_group_name_H-M 'I 4/m m m'
_symmetry_Int_Tables_number 139
_symmetry_space_group_name_Hall '-I 4 2'
loop_
_atom_site_label
_atom_site_type_symbol
_atom_site_fract_x
_atom_site_fract_y
_atom_site_fract_z
_atom_site_occupancy
Mn1 Mn 0.0000 0.0000 0.0000 1
Mn2 Mn 0.0000 0.5000 0.2500 1
Zn1 Zn 0.0000 0.0000 0.5000 1
```

=====

Structure and calculated XRD peak list of PrBiAu2 (DFT lattice parameters and positions (PBE); a wavelength of 1.5418 Å).
Lines closer than 0.1° are merged.

Principal peaks in the range 2θ from 10° to 90°, in order of falling intensity:
| hkl | Position (°2θ) | Rel. int. |
| --- | --- | --- |
| 2 2 0 | 34.5 | 100 |
| 4 2 2 | 61.8 | 38 |
| 4 0 0 | 49.6 | 18 |
| 6 2 0 | 83.1 | 17 |
| 4 4 0 | 72.8 | 12 |
| 1 1 1 | 20.9 | 2 |

Cell and atoms:
```
data_PrBiAu2
_chemical_formula_sum 'Pr4 Bi4 Au8'
_cell_length_a 7.3521
_cell_length_b 7.3521
_cell_length_c 7.3521
_cell_angle_alpha 90.00
_cell_angle_beta 90.00
_cell_angle_gamma 90.00
_symmetry_space_group_name_H-M 'F m -3 m'
_symmetry_Int_Tables_number 225
_symmetry_space_group_name_Hall '-F 4 2 3'
loop_
_atom_site_label
_atom_site_type_symbol
_atom_site_fract_x
_atom_site_fract_y
_atom_site_fract_z
_atom_site_occupancy
Pr1 Pr 0.0000 0.0000 0.0000 1
Bi1 Bi 0.0000 0.0000 0.5000 1
Au1 Au 0.2500 0.2500 0.2500 1
```

=====

Structure and calculated XRD peak list of Ce4Al23Ni6 (DFT lattice parameters and positions (PBE); a wavelength of 1.5418 Å).
Lines closer than 0.1° are merged.

Principal peaks in the range 2θ from 10° to 90°, in order of falling intensity:
| hkl | Position (°2θ) | Rel. int. |
| --- | --- | --- |
| 0 2 0 | 44.0 | 100 |
| 5 1 -2 | 35.6 | 82 |
| 1 1 -6 | 37.3 | 67 |
| 3 1 1 | 30.1 | 63 |
| 1 1 -1 | 22.5 | 54 |
| 6 0 -5 | 35.8 | 47 |

Cell and atoms:
```
data_Ce4Al23Ni6
_chemical_formula_sum 'Ce8 Al46 Ni12'
_cell_length_a 15.9988
_cell_length_b 4.1150
_cell_length_c 18.3102
_cell_angle_alpha 90.00
_cell_angle_beta 113.25
_cell_angle_gamma 90.00
_symmetry_space_group_name_H-M 'C 1 2/m 1'
_symmetry_Int_Tables_number 12
loop_
_symmetry_equiv_pos_as_xyz
'x,y,z'
'-x,-y,-z'
'-x,y,-z'
'x,-y,z'
'x+1/2,y+1/2,z'
'-x+1/2,-y+1/2,-z'
'-x+1/2,y+1/2,-z'
'x+1/2,-y+1/2,z'
loop_
_atom_site_label
_atom_site_type_symbol
_atom_site_fract_x
_atom_site_fract_y
_atom_site_fract_z
_atom_site_occupancy
Ce1 Ce 0.0702 0.0000 0.4073 1
Ce2 Ce 0.2349 0.0000 0.7823 1
Al1 Al 0.0000 0.5000 0.5000 1
Al2 Al 0.0319 0.0000 0.7808 1
Al3 Al 0.0685 0.0000 0.9394 1
Al4 Al 0.0821 0.5000 0.6868 1
Al5 Al 0.0890 0.5000 0.2783 1
Al6 Al 0.0902 0.5000 0.0477 1
Al7 Al 0.1083 0.0000 0.1608 1
Al8 Al 0.1231 0.0000 0.5959 1
Al9 Al 0.1427 0.5000 0.8576 1
Al10 Al 0.2029 0.5000 0.5216 1
Al11 Al 0.2232 0.0000 0.3226 1
Al12 Al 0.2441 0.0000 0.9539 1
Ni1 Ni 0.0076 0.5000 0.1333 1
Ni2 Ni 0.1905 0.0000 0.0677 1
Ni3 Ni 0.2260 0.5000 0.3975 1
```

=====

Structure and calculated XRD peak list of Er2Al9Rh3 (DFT lattice parameters and positions (PBE); a wavelength of 1.5418 Å).
Lines closer than 0.1° are merged.

Principal peaks in the range 2θ from 10° to 90°, in order of falling intensity:
| hkl | Position (°2θ) | Rel. int. |
| --- | --- | --- |
| 3 3 0 | 41.3 | 100 |
| 3 1 2 | 30.3 | 100 |
| 3 1 3 | 37.2 | 71 |
| 3 1 1 | 25.4 | 59 |
| 0 2 2 | 30.2 | 52 |
| 0 0 4 | 38.1 | 45 |

Cell and atoms:
```
data_Er2Al9Rh3
_chemical_formula_sum 'Er8 Al36 Rh12'
_cell_length_a 13.0313
_cell_length_b 7.5899
_cell_length_c 9.4392
_cell_angle_alpha 90.00
_cell_angle_beta 90.00
_cell_angle_gamma 90.00
_symmetry_space_group_name_H-M 'C m c m'
_symmetry_Int_Tables_number 63
_symmetry_space_group_name_Hall '-C 2c 2'
loop_
_atom_site_label
_atom_site_type_symbol
_atom_site_fract_x
_atom_site_fract_y
_atom_site_fract_z
_atom_site_occupancy
Er1 Er 0.1629 0.1677 0.2500 1
Al1 Al 0.0000 0.1257 0.7500 1
Al2 Al 0.0000 0.3333 0.0538 1
Al3 Al 0.1051 0.4428 0.7500 1
Al4 Al 0.1668 0.1678 0.5740 1
Rh1 Rh 0.0000 0.0000 0.0000 1
Rh2 Rh 0.1720 0.5000 0.0000 1
```

=====

Structure and calculated XRD peak list of Li2AlGa (DFT lattice parameters and positions (PBE); a wavelength of 1.5418 Å).
Lines closer than 0.1° are merged.

Principal peaks in the range 2θ from 10° to 90°, in order of falling intensity:
| hkl | Position (°2θ) | Rel. int. |
| --- | --- | --- |
| 1 1 1 | 24.6 | 100 |
| 2 2 0 | 40.8 | 93 |
| 3 1 1 | 48.2 | 48 |
| 4 2 2 | 74.2 | 30 |
| 2 0 0 | 28.5 | 21 |
| 3 3 1 | 64.9 | 19 |

Cell and atoms:
```
data_Li2AlGa
_chemical_formula_sum 'Li8 Al4 Ga4'
_cell_length_a 6.2606
_cell_length_b 6.2606
_cell_length_c 6.2606
_cell_angle_alpha 90.00
_cell_angle_beta 90.00
_cell_angle_gamma 90.00
_symmetry_space_group_name_H-M 'F -4 3 m'
_symmetry_Int_Tables_number 216
_symmetry_space_group_name_Hall 'F -4 2 3'
loop_
_atom_site_label
_atom_site_type_symbol
_atom_site_fract_x
_atom_site_fract_y
_atom_site_fract_z
_atom_site_occupancy
Li1 Li 0.0000 0.0000 0.0000 1
Li2 Li 0.2500 0.2500 0.2500 1
Al1 Al 0.0000 0.0000 0.5000 1
Ga1 Ga 0.2500 0.2500 0.7500 1
```